# Dy2WO6
Theoretical X-ray powder pattern, Cu Ka. Input: a structure optimized by DFT (GGA+U).

```
Dy2WO6
1.0
7.7128 0.0000 0.0000
0.0000 5.3995 0.0000
-2.8759 0.0000 11.1158
Dy W O
8 4 24
Direct
0.0000 0.1835 0.2500 Dy
0.0000 0.8165 0.7500 Dy
0.2943 0.3154 0.9223 Dy
0.2943 0.6846 0.4223 Dy
0.5000 0.2396 0.2500 Dy
0.5000 0.7604 0.7500 Dy
0.7057 0.3154 0.5777 Dy
0.7057 0.6846 0.0777 Dy
0.2235 0.2449 0.6150 W
0.2235 0.7551 0.1150 W
0.7765 0.2449 0.8850 W
0.7765 0.7551 0.3850 W
0.0096 0.1386 0.8855 O
0.0096 0.8614 0.3855 O
0.1348 0.3480 0.4521 O
0.1348 0.6520 0.9521 O
0.2100 0.4808 0.2283 O
0.2100 0.5192 0.7283 O
0.2901 0.0416 0.7726 O
0.2901 0.9584 0.2726 O
0.3477 0.0325 0.0697 O
0.3477 0.9675 0.5697 O
0.4393 0.4562 0.6045 O
0.4393 0.5438 0.1045 O
0.5607 0.4562 0.8955 O
0.5607 0.5438 0.3955 O
0.6523 0.0325 0.4303 O
0.6523 0.9675 0.9303 O
0.7099 0.0416 0.7274 O
0.7099 0.9584 0.2274 O
0.7900 0.4808 0.2717 O
0.7900 0.5192 0.7717 O
0.8652 0.3480 0.0479 O
0.8652 0.6520 0.5479 O
0.9904 0.1386 0.6145 O
0.9904 0.8614 0.1145 O
```

Most intense lines, 5 to 70 degrees two-theta, most intense first:
2θ/deg  Rel. int.  index
29.23  100  0 1 3
28.52  100  2 1 -1
33.18  24  0 2 0
49.07  23  2 2 -4
35.10  21  2 0 -4
32.05  20  2 0 2
46.81  16  2 2 2
31.79  14  2 1 1